EuIn2Se4: theoretical powder X-ray diffraction pattern (copper Kα), based on a structure optimized by DFT (GGA-PBE).
Lines closer than 0.1° are merged.

Structural model:
Unit cell a=6.5732 b=6.5732 c=11.2653 alpha=90.00 beta=90.00 gamma=116.88
Sites, in units of the cell vectors:
Eu 0.0000 0.0000 0.2500
Eu 0.0000 0.0000 0.7500
In 0.2694 0.7289 0.0000
In 0.2711 0.7306 0.5000
In 0.7289 0.2694 0.5000
In 0.7306 0.2711 0.0000
Se 0.0000 0.5000 0.1773
Se 0.0000 0.5000 0.8227
Se 0.1431 0.2925 0.5000
Se 0.2925 0.1431 0.0000
Se 0.5000 0.0000 0.3227
Se 0.5000 0.0000 0.6773
Se 0.7075 0.8569 0.0000
Se 0.8569 0.7075 0.5000

Main lines, by angle (5 to 70 degrees two-theta):
two_theta	intensity
15.11	26
15.78	23
21.88	23
27.17	18
28.22	27
28.32	27
31.77	25
31.96	21
34.49	100
53.26	27